(1)
Diffraction record for Sr2GaSn2O7. The powder diffraction line list is simulated, not measured: it uses a crystal structure in the Materials Project, relaxed with PBE and CuKα.
No peak broadening, texture or thermal motion is included.

Largest 6 diffraction maxima, low angle first, 10° ≤ 2θ ≤ 90°:
- 2θ 23.19, intensity 51.7
- 2θ 30.52, intensity 59.9
- 2θ 31.39, intensity 70.5
- 2θ 31.92, intensity 97.2
- 2θ 32.15, intensity 100.0
- 2θ 44.35, intensity 75.9

Structure:
```
data_Sr2GaSn2O7
_chemical_formula_sum 'Sr8 Ga4 Sn8 O28'
_cell_length_a 23.6567
_cell_length_b 5.6998
_cell_length_c 5.8578
_cell_angle_alpha 90.00
_cell_angle_beta 103.77
_cell_angle_gamma 90.00
_symmetry_space_group_name_H-M 'C 1 2 1'
_symmetry_Int_Tables_number 5
loop_
_symmetry_equiv_pos_as_xyz
'x,y,z'
'-x,y,-z'
'x+1/2,y+1/2,z'
'-x+1/2,y+1/2,-z'
loop_
_atom_site_label
_atom_site_type_symbol
_atom_site_fract_x
_atom_site_fract_y
_atom_site_fract_z
Sr1 Sr 0.1544 0.0000 0.1253
Sr2 Sr 0.1535 0.5087 0.6728
Ga1 Ga 0.2486 0.0421 0.6661
Sn1 Sn 0.0631 0.9978 0.5617
Sn2 Sn 0.0860 0.4985 0.0920
O1 O 0.0796 0.7494 0.8383
O2 O 0.0808 0.2540 0.8332
O3 O 0.0918 0.2455 0.3436
O4 O 0.0917 0.7489 0.3434
O5 O 0.1779 0.4846 0.1293
O6 O 0.1791 0.9759 0.7366
O7 O 0.2498 0.3725 0.6110
```


(2)
Diffraction record for Te4MoW3Se2S2. The powder diffraction line list is simulated, not measured: it uses a crystal structure in the Materials Project, relaxed with PBE and CuKα.
No peak broadening, texture or thermal motion is included.

Largest 6 diffraction maxima, low angle first, 10° ≤ 2θ ≤ 90°:
- 2θ 11.39, intensity 100.0
- 2θ 13.67, intensity 22.5
- 2θ 30.42, intensity 42.8
- 2θ 35.69, intensity 84.1
- 2θ 43.15, intensity 47.2
- 2θ 54.01, intensity 29.6

Structure:
```
data_Te4MoW3Se2S2
_chemical_formula_sum 'Te4 Mo1 W3 Se2 S2'
_cell_length_a 3.3959
_cell_length_b 3.3959
_cell_length_c 38.8568
_cell_angle_alpha 90.00
_cell_angle_beta 90.00
_cell_angle_gamma 120.00
_symmetry_space_group_name_H-M 'P 3 m 1'
_symmetry_Int_Tables_number 156
loop_
_symmetry_equiv_pos_as_xyz
'x,y,z'
'-y,x-y,z'
'-x+y,-x,z'
'-y,-x,z'
'-x+y,y,z'
'x,x-y,z'
loop_
_atom_site_label
_atom_site_type_symbol
_atom_site_fract_x
_atom_site_fract_y
_atom_site_fract_z
Te1 Te 0.0000 0.0000 0.0000
Te2 Te 0.0000 0.0000 0.0965
Te3 Te 0.6667 0.3333 0.1879
Te4 Te 0.6667 0.3333 0.2849
Mo1 Mo 0.6667 0.3333 0.0482
W1 W 0.0000 0.0000 0.2364
W2 W 0.0000 0.0000 0.6120
W3 W 0.6667 0.3333 0.4241
Se1 Se 0.6667 0.3333 0.5693
Se2 Se 0.6667 0.3333 0.6546
S1 S 0.0000 0.0000 0.3853
S2 S 0.0000 0.0000 0.4629
```


(3)
Diffraction record for PuPbAu2. The powder diffraction line list is simulated, not measured: it uses a crystal structure in the Materials Project, relaxed with PBE and CuKα.
No peak broadening, texture or thermal motion is included.

Largest 5 diffraction maxima, low angle first, 10° ≤ 2θ ≤ 90°:
- 2θ 35.45, intensity 100.0
- 2θ 51.00, intensity 18.1
- 2θ 63.64, intensity 37.8
- 2θ 75.01, intensity 11.9
- 2θ 85.80, intensity 17.5

Structure:
```
data_PuPbAu2
_chemical_formula_sum 'Pu4 Pb4 Au8'
_cell_length_a 7.1629
_cell_length_b 7.1629
_cell_length_c 7.1629
_cell_angle_alpha 90.00
_cell_angle_beta 90.00
_cell_angle_gamma 90.00
_symmetry_space_group_name_H-M 'F m -3 m'
_symmetry_Int_Tables_number 225
_symmetry_space_group_name_Hall '-F 4 2 3'
loop_
_atom_site_label
_atom_site_type_symbol
_atom_site_fract_x
_atom_site_fract_y
_atom_site_fract_z
Pu1 Pu 0.0000 0.0000 0.0000
Pb1 Pb 0.0000 0.0000 0.5000
Au1 Au 0.2500 0.2500 0.2500
```


(4)
Diffraction record for Zr6MnCl14. The powder diffraction line list is simulated, not measured: it uses a crystal structure in the Materials Project, relaxed with PBE and CuKα.
No peak broadening, texture or thermal motion is included.

Largest 6 diffraction maxima, low angle first, 10° ≤ 2θ ≤ 90°:
- 2θ 11.63, intensity 100.0
- 2θ 24.27, intensity 12.1
- 2θ 31.07, intensity 14.5
- 2θ 35.38, intensity 11.4
- 2θ 35.71, intensity 25.0
- 2θ 48.27, intensity 12.1

Structure:
```
data_Zr6MnCl14
_chemical_formula_sum 'Zr24 Mn4 Cl56'
_cell_length_a 14.8619
_cell_length_b 13.1294
_cell_length_c 11.9945
_cell_angle_alpha 90.00
_cell_angle_beta 90.00
_cell_angle_gamma 90.00
_symmetry_space_group_name_H-M 'C m c e'
_symmetry_Int_Tables_number 64
_symmetry_space_group_name_Hall '-C 2ac 2'
loop_
_atom_site_label
_atom_site_type_symbol
_atom_site_fract_x
_atom_site_fract_y
_atom_site_fract_z
Zr1 Zr 0.0000 0.1492 0.1066
Zr2 Zr 0.1207 0.0725 0.8783
Mn1 Mn 0.0000 0.0000 0.0000
Cl1 Cl 0.0000 0.1543 0.7400
Cl2 Cl 0.1212 0.0876 0.2434
Cl3 Cl 0.1211 0.2388 0.9892
Cl4 Cl 0.2469 0.0000 0.0000
Cl5 Cl 0.2500 0.1528 0.7500
```


(5)
Diffraction record for Y2CN2O2. The powder diffraction line list is simulated, not measured: it uses a crystal structure in the Materials Project, relaxed with PBE and CuKα.
No peak broadening, texture or thermal motion is included.

Largest 6 diffraction maxima, low angle first, 10° ≤ 2θ ≤ 90°:
- 2θ 10.74, intensity 77.4
- 2θ 28.05, intensity 44.5
- 2θ 29.62, intensity 47.9
- 2θ 32.06, intensity 100.0
- 2θ 47.76, intensity 30.2
- 2θ 48.65, intensity 51.6

Structure:
```
data_Y2CN2O2
_chemical_formula_sum 'Y4 C2 N4 O4'
_cell_length_a 3.7431
_cell_length_b 3.7431
_cell_length_c 16.4712
_cell_angle_alpha 90.00
_cell_angle_beta 90.00
_cell_angle_gamma 120.00
_symmetry_space_group_name_H-M 'P 63/m m c'
_symmetry_Int_Tables_number 194
_symmetry_space_group_name_Hall '-P 6c 2c'
loop_
_atom_site_label
_atom_site_type_symbol
_atom_site_fract_x
_atom_site_fract_y
_atom_site_fract_z
Y1 Y 0.3333 0.6667 0.0887
C1 C 0.0000 0.0000 0.2500
N1 N 0.0000 0.0000 0.1750
O1 O 0.3333 0.6667 0.5518
```


(6)
Diffraction record for Sr2GeO4. The powder diffraction line list is simulated, not measured: it uses a crystal structure in the Materials Project, relaxed with PBE and CuKα.
No peak broadening, texture or thermal motion is included.

Largest 6 diffraction maxima, low angle first, 10° ≤ 2θ ≤ 90°:
- 2θ 28.87, intensity 25.8
- 2θ 30.03, intensity 54.6
- 2θ 30.24, intensity 72.1
- 2θ 30.44, intensity 23.6
- 2θ 30.63, intensity 100.0
- 2θ 43.28, intensity 27.8

Structure:
```
data_Sr2GeO4
_chemical_formula_sum 'Sr16 Ge8 O32'
_cell_length_a 14.4768
_cell_length_b 5.9523
_cell_length_c 10.0493
_cell_angle_alpha 90.00
_cell_angle_beta 90.00
_cell_angle_gamma 90.00
_symmetry_space_group_name_H-M 'P n a 21'
_symmetry_Int_Tables_number 33
loop_
_symmetry_equiv_pos_as_xyz
'x,y,z'
'-x,-y,z+1/2'
'-x+1/2,y+1/2,z+1/2'
'x+1/2,-y+1/2,z'
loop_
_atom_site_label
_atom_site_type_symbol
_atom_site_fract_x
_atom_site_fract_y
_atom_site_fract_z
Sr1 Sr 0.0432 0.2218 0.0000
Sr2 Sr 0.1205 0.2064 0.6334
Sr3 Sr 0.1287 0.7284 0.2284
Sr4 Sr 0.2037 0.7108 0.8592
Ge1 Ge 0.0211 0.2717 0.3464
Ge2 Ge 0.2360 0.7205 0.5152
O1 O 0.0050 0.0457 0.2345
O2 O 0.0290 0.4772 0.7787
O3 O 0.0425 0.7879 0.9955
O4 O 0.1235 0.8187 0.4812
O5 O 0.1368 0.3286 0.3869
O6 O 0.2015 0.1428 0.8669
O7 O 0.2038 0.4686 0.0691
O8 O 0.2472 0.5102 0.6400
```


(7)
Diffraction record for YSiIr2. The powder diffraction line list is simulated, not measured: it uses a crystal structure in the Materials Project, relaxed with PBE and CuKα.
No peak broadening, texture or thermal motion is included.

Largest 6 diffraction maxima, low angle first, 10° ≤ 2θ ≤ 90°:
- 2θ 23.42, intensity 60.0
- 2θ 34.87, intensity 42.0
- 2θ 37.20, intensity 34.4
- 2θ 37.69, intensity 100.0
- 2θ 40.09, intensity 54.2
- 2θ 41.39, intensity 52.8

Structure:
```
data_YSiIr2
_chemical_formula_sum 'Y6 Si6 Ir12'
_cell_length_a 5.5816
_cell_length_b 5.5816
_cell_length_c 15.1962
_cell_angle_alpha 90.00
_cell_angle_beta 90.00
_cell_angle_gamma 120.00
_symmetry_space_group_name_H-M 'P 63/m m c'
_symmetry_Int_Tables_number 194
_symmetry_space_group_name_Hall '-P 6c 2c'
loop_
_atom_site_label
_atom_site_type_symbol
_atom_site_fract_x
_atom_site_fract_y
_atom_site_fract_z
Y1 Y 0.3333 0.6667 0.0391
Y2 Y 0.3333 0.6667 0.2500
Si1 Si 0.0000 0.0000 0.0000
Si2 Si 0.0000 0.0000 0.2500
Si3 Si 0.3333 0.6667 0.7500
Ir1 Ir 0.1675 0.3349 0.6305
```